Entry 1:
This entry pairs a crystal structure of LiVP2HO8 with its calculated powder diffraction line list. Radiation: Cu Kα (λ = 1.5418 Å). Structure: a crystal structure in the Materials Project, relaxed with GGA+U.

Principal peaks in the range 10° ≤ 2θ ≤ 90°, by angle:
- 16.6 deg, 5.352 Å, rel. 60, (1 -1 0)
- 22.7 deg, 3.924 Å, rel. 47, (1 1 -2)
- 25.1 deg, 3.551 Å, rel. 79, (1 0 2)
- 25.5 deg, 3.492 Å, rel. 54, (1 2 0)
- 27.5 deg, 3.245 Å, rel. 18, (1 -1 2)
- 29.3 deg, 3.048 Å, rel. 100, (-2 1 2)
- 29.9 deg, 2.988 Å, rel. 21, (1 2 -2)
- 33.5 deg, 2.676 Å, rel. 42, (2 2 0)

Structural model:
a = 7.461 Å, b = 7.982 Å, c = 9.745 Å
α = 90.14°, β = 104.79°, γ = 90.09°
Space group P1 (No. 1)
One atom of each set of equivalent atoms:
Li1 0.000 0.000 0.000
Li2 0.202 0.498 0.652
Li3 0.493 0.240 0.237
Li4 0.700 0.739 0.897
V1 0.345 0.879 0.693
V2 0.355 0.859 0.202
V3 0.845 0.371 0.448
V4 0.846 0.370 0.946
P1 0.082 0.718 0.384
P2 0.086 0.714 0.884
P3 0.109 0.220 0.259
P4 0.114 0.217 0.764
P5 0.579 0.519 0.129
P6 0.581 0.518 0.635
P7 0.613 0.024 0.010
P8 0.617 0.019 0.512
H1 0.337 0.364 0.432
H2 0.343 0.365 0.939
H3 0.840 0.879 0.688
H4 0.862 0.858 0.217
O1 0.006 0.317 0.633
O2 0.031 0.540 0.927
O3 0.033 0.548 0.440
O4 0.157 0.047 0.208
O5 0.168 0.042 0.722
O6 0.195 0.817 0.018
O7 0.197 0.815 0.518
O8 0.208 0.698 0.282
O9 0.210 0.698 0.780
O10 0.288 0.324 0.825
O11 0.295 0.310 0.326
O12 0.400 0.431 0.566
O13 0.407 0.413 0.068
O14 0.485 0.041 0.610
O15 0.488 0.039 0.115
O16 0.502 0.924 0.876
O17 0.504 0.920 0.377
O18 0.528 0.696 0.171
O19 0.543 0.694 0.689
O20 0.664 0.189 0.454
O21 0.664 0.199 0.968
O22 0.689 0.421 0.261
O23 0.696 0.420 0.767
O24 0.706 0.544 0.025
O25 0.710 0.525 0.531
O26 0.788 0.920 0.068
O27 0.795 0.924 0.581
O28 0.902 0.816 0.321
O29 0.910 0.818 0.825
O30 0.987 0.213 0.366
O31 0.991 0.194 0.870
O32 0.999 0.319 0.128

=====

Entry 2:
This entry pairs a crystal structure of LiVP2HO8 with its calculated powder diffraction line list. Radiation: Cu Kα (λ = 1.5418 Å). Structure: a crystal structure in the Materials Project, relaxed with GGA+U.

Principal peaks in the range 10° ≤ 2θ ≤ 90°, by angle:
- 16.6 deg, 5.343 Å, rel. 78, (1 1 0)
- 22.6 deg, 3.933 Å, rel. 61, (0 1 2)
- 25.3 deg, 3.519 Å, rel. 100, (2 0 -2)
- 25.5 deg, 3.490 Å, rel. 71, (1 2 0)
- 29.2 deg, 3.060 Å, rel. 89, (1 1 2)
- 29.4 deg, 3.040 Å, rel. 40, (1 2 -2)
- 29.9 deg, 2.992 Å, rel. 28, (0 2 2)
- 33.5 deg, 2.672 Å, rel. 59, (2 2 0)

Structural model:
a = 7.740 Å, b = 7.986 Å, c = 9.730 Å
α = 90.00°, β = 111.75°, γ = 90.00°
Space group P2_1 (No. 4)
One atom of each set of equivalent atoms:
Li1 0.101 0.000 0.477
Li2 0.398 0.739 0.028
V1 0.243 0.365 0.999
V2 0.263 0.374 0.503
P1 0.012 0.712 0.815
P2 0.013 0.717 0.318
P3 0.481 0.024 0.684
P4 0.482 0.020 0.181
H1 0.240 0.864 0.759
H2 0.242 0.863 0.259
O1 0.062 0.546 0.395
O2 0.067 0.542 0.892
O3 0.096 0.320 0.603
O4 0.104 0.312 0.111
O5 0.106 0.196 0.351
O6 0.110 0.199 0.847
O7 0.191 0.822 0.345
O8 0.196 0.810 0.844
O9 0.301 0.928 0.658
O10 0.309 0.916 0.157
O11 0.389 0.540 0.654
O12 0.394 0.542 0.150
O13 0.399 0.426 0.390
O14 0.403 0.419 0.897
O15 0.434 0.197 0.610
O16 0.439 0.193 0.104

=====

Entry 3:
This entry pairs a crystal structure of Li3VP2HO8 with its calculated powder diffraction line list. Radiation: Cu Kα (λ = 1.5418 Å). Structure: a crystal structure in the Materials Project, relaxed with GGA+U.

Principal peaks in the range 10° ≤ 2θ ≤ 90°, by angle:
- 14.2 deg, 6.258 Å, rel. 39, (0 0 2)
- 23.6 deg, 3.764 Å, rel. 83, (1 -1 2)
- 24.0 deg, 3.712 Å, rel. 62, (1 1 -3)
- 25.2 deg, 3.535 Å, rel. 100, (0 2 1)
- 32.2 deg, 2.778 Å, rel. 39, (2 0 -1)
- 34.3 deg, 2.615 Å, rel. 41, (1 1 3)
- 34.8 deg, 2.581 Å, rel. 57, (1 1 -5)
- 35.3 deg, 2.540 Å, rel. 55, (1 -3 1)

Structural model:
a = 5.557 Å, b = 8.564 Å, c = 13.472 Å
α = 108.49°, β = 100.97°, γ = 90.05°
Space group P1 (No. 1)
One atom of each set of equivalent atoms:
Li1 0.000 0.000 0.000
Li2 0.014 0.505 0.761
Li3 0.132 0.378 0.130
Li4 0.249 0.250 0.500
Li5 0.265 0.755 0.260
Li6 0.383 0.627 0.631
Li7 0.500 0.500 0.000
Li8 0.514 0.005 0.761
Li9 0.632 0.878 0.130
Li10 0.749 0.750 0.500
Li11 0.765 0.255 0.260
Li12 0.883 0.127 0.631
V1 0.008 0.252 0.880
V2 0.257 0.502 0.380
V3 0.507 0.753 0.880
V4 0.757 0.003 0.380
P1 0.067 0.675 0.004
P2 0.198 0.080 0.256
P3 0.316 0.924 0.504
P4 0.448 0.330 0.756
P5 0.567 0.175 0.004
P6 0.698 0.581 0.256
P7 0.817 0.424 0.504
P8 0.948 0.830 0.756
H1 0.134 0.877 0.630
H2 0.381 0.128 0.130
H3 0.634 0.377 0.630
H4 0.881 0.628 0.130
O1 0.020 0.515 0.909
O2 0.064 0.514 0.511
O3 0.084 0.628 0.110
O4 0.101 0.040 0.500
O5 0.164 0.715 0.761
O6 0.179 0.128 0.150
O7 0.201 0.239 0.750
O8 0.246 0.240 0.352
O9 0.268 0.765 0.408
O10 0.314 0.766 0.011
O11 0.336 0.877 0.610
O12 0.351 0.290 0.000
O13 0.414 0.965 0.260
O14 0.430 0.377 0.650
O15 0.450 0.491 0.250
O16 0.494 0.490 0.852
O17 0.521 0.015 0.909
O18 0.564 0.014 0.511
O19 0.585 0.128 0.110
O20 0.601 0.540 0.500
O21 0.664 0.215 0.761
O22 0.678 0.627 0.150
O23 0.701 0.739 0.750
O24 0.746 0.740 0.352
O25 0.768 0.265 0.408
O26 0.813 0.266 0.011
O27 0.836 0.377 0.610
O28 0.851 0.791 0.000
O29 0.914 0.465 0.260
O30 0.930 0.877 0.650
O31 0.950 0.991 0.250
O32 0.994 0.990 0.852

=====

Entry 4:
This entry pairs a crystal structure of Li2VP2HO8 with its calculated powder diffraction line list. Radiation: Cu Kα (λ = 1.5418 Å). Structure: a crystal structure in the Materials Project, relaxed with GGA+U.

Principal peaks in the range 10° ≤ 2θ ≤ 90°, by angle:
- 16.2 deg, 5.480 Å, rel. 43, (0 1 1)
- 22.6 deg, 3.943 Å, rel. 37, (1 1 -1)
- 24.7 deg, 3.603 Å, rel. 66, (1 0 1)
- 24.9 deg, 3.573 Å, rel. 44, (0 2 1)
- 29.0 deg, 3.083 Å, rel. 100, (1 1 -2)
- 32.7 deg, 2.740 Å, rel. 41, (0 2 2)
- 38.7 deg, 2.326 Å, rel. 19, (2 1 -1)
- 50.9 deg, 1.793 Å, rel. 17, (1 2 3)

Structural model:
a = 4.864 Å, b = 8.163 Å, c = 7.620 Å
α = 90.00°, β = 104.00°, γ = 90.00°
Space group P2_1 (No. 4)
One atom of each set of equivalent atoms:
Li1 0.131 0.000 0.094
Li2 0.356 0.273 0.408
V1 0.249 0.636 0.254
P1 0.119 0.987 0.481
P2 0.383 0.289 0.014
H1 0.278 0.646 0.761
O1 0.009 0.577 0.699
O2 0.101 0.464 0.402
O3 0.139 0.177 0.913
O4 0.237 0.819 0.440
O5 0.267 0.453 0.063
O6 0.365 0.096 0.588
O7 0.392 0.809 0.097
O8 0.488 0.697 0.802

=====

Entry 5:
This entry pairs a crystal structure of LiVP2HO8 with its calculated powder diffraction line list. Radiation: Cu Kα (λ = 1.5418 Å). Structure: a crystal structure in the Materials Project, relaxed with GGA+U.

Principal peaks in the range 10° ≤ 2θ ≤ 90°, by angle:
- 16.5 deg, 5.373 Å, rel. 80, (0 1 -1)
- 22.6 deg, 3.935 Å, rel. 61, (1 1 -1)
- 25.1 deg, 3.541 Å, rel. 100, (1 -1 0)
- 25.4 deg, 3.508 Å, rel. 69, (0 1 2)
- 29.1 deg, 3.064 Å, rel. 88, (1 2 1)
- 29.3 deg, 3.050 Å, rel. 37, (1 0 2)
- 33.4 deg, 2.687 Å, rel. 55, (0 2 -2)
- 52.2 deg, 1.753 Å, rel. 34, (1 -3 2)

Structural model:
a = 4.867 Å, b = 7.499 Å, c = 8.020 Å
α = 89.95°, β = 89.96°, γ = 74.86°
Space group P1 (No. 1)
One atom of each set of equivalent atoms:
Li1 0.000 0.000 0.000
Li2 0.495 0.504 0.242
V1 0.080 0.865 0.378
V2 0.582 0.364 0.865
P1 0.219 0.099 0.716
P2 0.462 0.126 0.217
P3 0.717 0.599 0.527
P4 0.962 0.626 0.025
H1 0.056 0.375 0.379
H2 0.560 0.874 0.862
O1 0.075 0.671 0.197
O2 0.142 0.041 0.543
O3 0.232 0.505 0.931
O4 0.256 0.000 0.199
O5 0.332 0.305 0.309
O6 0.344 0.926 0.826
O7 0.413 0.230 0.700
O8 0.443 0.699 0.426
O9 0.579 0.168 0.045
O10 0.640 0.541 0.700
O11 0.731 0.007 0.314
O12 0.756 0.500 0.045
O13 0.836 0.802 0.930
O14 0.842 0.426 0.417
O15 0.911 0.730 0.542
O16 0.945 0.199 0.817

=====

What did the fourth record say?
This entry pairs a crystal structure of Li2VP2HO8 with its calculated powder diffraction line list. Radiation: Cu Kα (λ = 1.5418 Å). Structure: a crystal structure in the Materials Project, relaxed with GGA+U.

Principal peaks in the range 10° ≤ 2θ ≤ 90°, by angle:
- 16.2 deg, 5.480 Å, rel. 43, (0 1 1)
- 22.6 deg, 3.943 Å, rel. 37, (1 1 -1)
- 24.7 deg, 3.603 Å, rel. 66, (1 0 1)
- 24.9 deg, 3.573 Å, rel. 44, (0 2 1)
- 29.0 deg, 3.083 Å, rel. 100, (1 1 -2)
- 32.7 deg, 2.740 Å, rel. 41, (0 2 2)
- 38.7 deg, 2.326 Å, rel. 19, (2 1 -1)
- 50.9 deg, 1.793 Å, rel. 17, (1 2 3)

Structural model:
a = 4.864 Å, b = 8.163 Å, c = 7.620 Å
α = 90.00°, β = 104.00°, γ = 90.00°
Space group P2_1 (No. 4)
One atom of each set of equivalent atoms:
Li1 0.131 0.000 0.094
Li2 0.356 0.273 0.408
V1 0.249 0.636 0.254
P1 0.119 0.987 0.481
P2 0.383 0.289 0.014
H1 0.278 0.646 0.761
O1 0.009 0.577 0.699
O2 0.101 0.464 0.402
O3 0.139 0.177 0.913
O4 0.237 0.819 0.440
O5 0.267 0.453 0.063
O6 0.365 0.096 0.588
O7 0.392 0.809 0.097
O8 0.488 0.697 0.802